This entry pairs a crystal structure of NaCaLaWO6 with its computed X-ray powder pattern. Radiation: copper Kα. Structure: a GGA+U-relaxed structure.

Crystal structure
```
NaCaLaWO6
1.0
0.000 4.147 4.147
4.147 0.000 4.147
4.147 4.147 0.000
Na Ca La W O
1 1 1 1 6
Cartesian
0.000 0.000 0.000 Na
6.221 6.221 6.221 Ca
4.147 4.147 4.147 La
2.074 2.074 2.074 W
2.074 2.074 0.138 O
2.074 0.138 2.074 O
4.009 2.074 2.074 O
0.138 2.074 2.074 O
2.074 4.009 2.074 O
2.074 2.074 4.009 O
```

Peak list (6 most intense, 2θ = 10–90°, by angle)
d/Å	Position (°2θ)	I/Imax
4.789	18.53	62
2.932	30.48	100
2.501	35.91	32
2.074	43.65	34
1.693	54.18	40
1.108	88.14	21